Diffraction record for Pr2PuNiO8. The powder X-ray diffraction pattern is simulated, not measured: it uses a DFT-relaxed cell (GGA+U, Alexandria) and CuKα.
Neutral-atom scattering factors, no anomalous dispersion.

Principal peaks in the range 15° ≤ 2θ ≤ 90°, by intensity:
24.70 deg, 3.605 Å, intensity 1000, (1 1 0); 27.15 deg, 3.284 Å, intensity 882, (0 1 2); 29.13 deg, 3.065 Å, intensity 682, (1 -1 0); 30.96 deg, 2.889 Å, intensity 569, (1 0 2); 31.76 deg, 2.817 Å, intensity 477, (0 1 -2); 22.43 deg, 3.963 Å, intensity 371, (0 1 -1); 32.63 deg, 2.744 Å, intensity 289, (1 0 -2); 42.13 deg, 2.145 Å, intensity 268, (2 0 0); 41.02 deg, 2.200 Å, intensity 258, (1 2 2); 48.00 deg, 1.895 Å, intensity 234, (-1 2 2); 24.47 deg, 3.637 Å, intensity 231, (1 0 -1); 25.73 deg, 3.462 Å, intensity 207, (1 1 1)

```
Pr2PuNiO8
1.0
4.3619 0.0000 0.0000
0.9279 5.2425 0.0000
0.6053 1.2120 7.4531
Pr Pu Ni O
2 1 1 8
direct
0.0407 0.0626 0.2311 Pr
0.9593 0.9374 0.7689 Pr
0.5000 0.5000 0.5000 Pu
0.5000 0.5000 0.0000 Ni
0.0933 0.7216 0.5083 O
0.1758 0.7491 0.0411 O
0.4022 0.2198 0.6736 O
0.4652 0.3222 0.2410 O
0.5349 0.6778 0.7590 O
0.5978 0.7802 0.3264 O
0.8242 0.2509 0.9589 O
0.9067 0.2784 0.4917 O
```